Structure and simulated powder XRD pattern of PmWClO4 (a crystal structure in Alexandria, relaxed with GGA+U; λ = 1.5418 Å (Cu Kα)).
Intensities are scaled so that the largest is 100.

Most intense lines, 2θ = 10–90°, low angle first:
6.756 Å, 13.10 deg, intensity 30, hkl 0 0 1
6.034 Å, 14.68 deg, intensity 27, hkl 1 1 0
5.047 Å, 17.57 deg, intensity 35, hkl 2 0 0
3.764 Å, 23.64 deg, intensity 100, hkl 0 2 0
3.566 Å, 24.97 deg, intensity 58, hkl 2 0 1
3.378 Å, 26.38 deg, intensity 23, hkl 0 0 2
3.200 Å, 27.88 deg, intensity 58, hkl 1 1 -2
3.135 Å, 28.47 deg, intensity 55, hkl 3 1 -1
2.661 Å, 33.69 deg, intensity 40, hkl 3 1 -2
2.589 Å, 34.65 deg, intensity 34, hkl 2 2 1
2.036 Å, 44.51 deg, intensity 27, hkl 5 1 -1
1.882 Å, 48.37 deg, intensity 32, hkl 0 4 0

Structure:
```
data_PmWClO4
_chemical_formula_sum 'Pm4 W4 Cl4 O16'
_cell_length_a 10.572
_cell_length_b 7.528
_cell_length_c 7.077
_cell_angle_alpha 90.00
_cell_angle_beta 107.31
_cell_angle_gamma 90.00
_symmetry_space_group_name_H-M 'C 1 2/m 1'
_symmetry_Int_Tables_number 12
loop_
_symmetry_equiv_pos_as_xyz
'x,y,z'
'-x,-y,-z'
'-x,y,-z'
'x,-y,z'
'x+1/2,y+1/2,z'
'-x+1/2,-y+1/2,-z'
'-x+1/2,y+1/2,-z'
'x+1/2,-y+1/2,z'
loop_
_atom_site_label
_atom_site_fract_x
_atom_site_fract_y
_atom_site_fract_z
_atom_site_occupancy
Pm1 0.223 0.000 0.116 1
W1 0.137 0.500 0.267 1
Cl1 0.011 0.000 0.767 1
O1 0.041 0.500 0.801 1
O2 0.199 0.313 0.154 1
O3 0.205 0.500 0.531 1
```